1.
# Ni5MoRh4
Simulated XRD peak list, Cu Kα. Input: a structure optimized by DFT (GGA-PBE).
Kinematic intensities with the Lorentz-polarization factor, no thermal factor.

Atomic structure:
a = 12.7477 Å, b = 2.6364 Å, c = 8.2941 Å
α = 90.00°, β = 109.20°, γ = 90.00°
Space group C2/m (No. 12)
One atom of each set of equivalent atoms:
Ni (0.0000, 0.0000, 0.0000)
Ni (0.1855, 0.5000, 0.5779)
Ni (0.2246, 0.5000, 0.1207)
Mo (0.0000, 0.0000, 0.5000)
Rh (0.0865, 0.5000, 0.8042)
Rh (0.1135, 0.0000, 0.2936)

Main lines, by intensity (2θ from 15° to 90°):
- 43.36°, d 2.087, intensity 100.0, hkl 6 0 -2
- 43.65°, d 2.074, intensity 48.1, hkl 2 0 -4
- 43.53°, d 2.079, intensity 41.9, hkl 4 0 2
- 44.69°, d 2.028, intensity 32.6, hkl 3 1 1
- 40.48°, d 2.228, intensity 25.9, hkl 3 1 -1
- 87.70°, d 1.113, intensity 22.8, hkl 2 2 -4
- 37.52°, d 2.397, intensity 21.6, hkl 1 1 1
- 79.90°, d 1.201, intensity 14.3, hkl 8 0 -6
- 64.72°, d 1.440, intensity 14.2, hkl 7 1 0
- 49.05°, d 1.857, intensity 13.8, hkl 3 1 -3


2.
# Ac4CuPd3O12
Simulated XRD peak list, Cu Kα. Input: a structure optimized by DFT (GGA-PBE).
Kinematic intensities with the Lorentz-polarization factor, no thermal factor.

Atomic structure:
a = 8.1051 Å, b = 8.1051 Å, c = 8.1051 Å
α = 90.00°, β = 90.00°, γ = 90.00°
Space group Im-3m (No. 229)
One atom of each set of equivalent atoms:
Ac (0.2500, 0.2500, 0.2500)
Cu (0.0000, 0.0000, 0.0000)
Pd (0.0000, 0.0000, 0.5000)
O (0.0000, 0.0000, 0.2473)
O (0.0000, 0.2500, 0.5000)

Main lines, by intensity (2θ from 15° to 90°):
- 31.21°, d 2.866, intensity 100.0, hkl 2 2 0
- 55.55°, d 1.654, intensity 40.8, hkl 4 2 2
- 44.72°, d 2.026, intensity 27.4, hkl 4 0 0
- 73.96°, d 1.282, intensity 17.7, hkl 6 2 0
- 65.10°, d 1.433, intensity 17.2, hkl 4 4 0
- 21.93°, d 4.053, intensity 13.2, hkl 2 0 0
- 38.48°, d 2.340, intensity 12.2, hkl 2 2 2
- 50.35°, d 1.812, intensity 7.2, hkl 4 2 0
- 82.44°, d 1.170, intensity 5.9, hkl 4 4 4
- 78.24°, d 1.222, intensity 4.4, hkl 6 2 2


3.
# TeRu4
Simulated XRD peak list, Cu Kα. Input: a structure optimized by DFT (GGA-PBE).
Kinematic intensities with the Lorentz-polarization factor, no thermal factor.

Atomic structure:
a = 6.2031 Å, b = 6.2031 Å, c = 3.9499 Å
α = 90.00°, β = 90.00°, γ = 90.00°
Space group I4/m (No. 87)
One atom of each set of equivalent atoms:
Te (0.0000, 0.0000, 0.0000)
Ru (0.0997, 0.3161, 0.5000)

Main lines, by intensity (2θ from 15° to 90°):
- 39.70°, d 2.270, intensity 100.0, hkl 2 1 1
- 46.28°, d 1.962, intensity 32.3, hkl 1 3 0
- 81.28°, d 1.184, intensity 22.2, hkl 5 0 1
- 67.27°, d 1.392, intensity 20.6, hkl 1 3 2
- 45.95°, d 1.975, intensity 16.7, hkl 0 0 2
- 80.80°, d 1.189, intensity 12.2, hkl 2 1 3
- 85.56°, d 1.135, intensity 10.1, hkl 4 2 2
- 67.53°, d 1.387, intensity 9.6, hkl 4 2 0
- 58.52°, d 1.577, intensity 1.6, hkl 2 3 1
- 26.76°, d 3.332, intensity 1.6, hkl 1 0 1


4.
# Cs2BeCuI6
Simulated XRD peak list, Cu Kα. Input: a structure optimized by DFT (GGA-PBE).
Kinematic intensities with the Lorentz-polarization factor, no thermal factor.

Atomic structure:
a = 8.1484 Å, b = 8.1484 Å, c = 12.2464 Å
α = 90.00°, β = 90.00°, γ = 90.00°
Space group I4/mmm (No. 139)
One atom of each set of equivalent atoms:
Cs (0.0000, 0.5000, 0.2500)
Be (0.0000, 0.0000, 0.0000)
Cu (0.0000, 0.0000, 0.5000)
I (0.0000, 0.0000, 0.2958)
I (0.2205, 0.2205, 0.0000)

Main lines, by intensity (2θ from 15° to 90°):
- 26.27°, d 3.392, intensity 100.0, hkl 2 0 2
- 31.04°, d 2.881, intensity 45.6, hkl 2 2 0
- 43.12°, d 2.098, intensity 26.6, hkl 2 2 4
- 29.17°, d 3.062, intensity 22.7, hkl 0 0 4
- 52.39°, d 1.746, intensity 21.5, hkl 4 2 2
- 44.47°, d 2.037, intensity 15.6, hkl 4 0 0
- 25.50°, d 3.493, intensity 14.1, hkl 2 1 1
- 54.07°, d 1.696, intensity 11.5, hkl 4 0 4
- 33.80°, d 2.652, intensity 11.1, hkl 3 0 1
- 73.55°, d 1.288, intensity 11.1, hkl 6 2 0


5.
# As2PdPbO6
Simulated XRD peak list, Cu Kα. Input: a structure optimized by DFT (GGA-PBE).
Kinematic intensities with the Lorentz-polarization factor, no thermal factor.

Atomic structure:
a = 10.6966 Å, b = 9.8323 Å, c = 6.4596 Å
α = 90.00°, β = 115.54°, γ = 90.00°
Space group C2/c (No. 15)
One atom of each set of equivalent atoms:
As (0.1821, 0.0167, 0.2513)
Pd (0.0000, 0.1457, 0.7500)
Pb (0.0000, 0.3637, 0.2500)
O (0.1282, 0.1662, 0.0891)
O (0.1407, 0.4987, 0.6025)
O (0.1627, 0.0975, 0.5042)

Main lines, by intensity (2θ from 15° to 90°):
- 25.68°, d 3.469, intensity 100.0, hkl 2 2 -1
- 23.68°, d 3.758, intensity 76.7, hkl 0 2 1
- 30.68°, d 2.914, intensity 58.7, hkl 0 0 2
- 34.07°, d 2.632, intensity 50.5, hkl 2 2 1
- 38.32°, d 2.349, intensity 40.7, hkl 4 2 -1
- 41.21°, d 2.190, intensity 39.9, hkl 2 4 0
- 29.21°, d 3.058, intensity 35.0, hkl 3 1 0
- 18.38°, d 4.826, intensity 34.8, hkl 2 0 0
- 46.75°, d 1.943, intensity 31.1, hkl 2 4 -2
- 57.32°, d 1.607, intensity 27.3, hkl 6 0 0


6.
# Tl3Zn2Cl8
Simulated XRD peak list, Cu Kα. Input: a structure optimized by DFT (GGA-PBE).
Kinematic intensities with the Lorentz-polarization factor, no thermal factor.

Atomic structure:
a = 7.3009 Å, b = 7.3009 Å, c = 24.8693 Å
α = 90.00°, β = 90.00°, γ = 120.00°
Space group R-3m (No. 166, hexagonal axes)
One atom of each set of equivalent atoms:
Tl (0.0000, 0.0000, 0.0000)
Tl (0.0000, 0.0000, 0.1998)
Zn (0.0000, 0.0000, 0.4069)
Cl (0.0000, 0.0000, 0.3157)
Cl (0.0106, 0.5053, 0.7676)

Main lines, by intensity (2θ from 15° to 90°):
- 24.38°, d 3.650, intensity 100.0, hkl 1 1 0
- 22.75°, d 3.909, intensity 82.7, hkl 0 1 5
- 33.59°, d 2.668, intensity 50.0, hkl 2 0 5
- 41.94°, d 2.154, intensity 38.1, hkl 1 2 5
- 38.91°, d 2.314, intensity 35.2, hkl 1 0 10
- 53.15°, d 1.723, intensity 26.8, hkl 2 1 10
- 49.97°, d 1.825, intensity 26.6, hkl 2 2 0
- 42.91°, d 2.108, intensity 22.6, hkl 3 0 0
- 61.42°, d 1.510, intensity 17.9, hkl 1 1 15
- 32.69°, d 2.739, intensity 16.0, hkl 1 1 6


7.
# TiSiMoOs2
Simulated XRD peak list, Cu Kα. Input: a structure optimized by DFT (GGA-PBE).
Kinematic intensities with the Lorentz-polarization factor, no thermal factor.

Atomic structure:
a = 4.6900 Å, b = 4.6900 Å, c = 4.5362 Å
α = 90.00°, β = 90.00°, γ = 90.00°
Space group P4/mmm (No. 123)
One atom of each set of equivalent atoms:
Ti (0.0000, 0.0000, 0.0000)
Si (0.5000, 0.5000, 0.0000)
Mo (0.5000, 0.5000, 0.5000)
Os (0.0000, 0.5000, 0.5000)

Main lines, by intensity (2θ from 15° to 90°):
- 19.57°, d 4.536, intensity 100.0, hkl 0 0 1
- 33.47°, d 2.677, intensity 85.3, hkl 1 1 1
- 38.39°, d 2.345, intensity 71.4, hkl 2 0 0
- 43.44°, d 2.083, intensity 53.2, hkl 2 0 1
- 56.44°, d 1.630, intensity 46.2, hkl 2 0 2
- 39.74°, d 2.268, intensity 32.4, hkl 0 0 2
- 55.41°, d 1.658, intensity 24.4, hkl 2 2 0
- 66.31°, d 1.410, intensity 23.9, hkl 3 1 1
- 70.33°, d 1.339, intensity 23.9, hkl 2 2 2
- 26.88°, d 3.316, intensity 23.0, hkl 1 1 0


8.
# AcB4
Simulated XRD peak list, Cu Kα. Input: a structure optimized by DFT (GGA-PBE).
Kinematic intensities with the Lorentz-polarization factor, no thermal factor.

Atomic structure:
a = 7.4602 Å, b = 7.4602 Å, c = 4.2997 Å
α = 90.00°, β = 90.00°, γ = 90.00°
Space group P4/mbm (No. 127)
One atom of each set of equivalent atoms:
Ac (0.1819, 0.3181, 0.0000)
B (0.0000, 0.0000, 0.2093)
B (0.0398, 0.8289, 0.5000)
B (0.0907, 0.5907, 0.5000)

Main lines, by intensity (2θ from 15° to 90°):
- 34.01°, d 2.636, intensity 100.0, hkl 2 1 1
- 26.72°, d 3.336, intensity 76.6, hkl 2 1 0
- 20.66°, d 4.300, intensity 58.6, hkl 0 0 1
- 50.47°, d 1.808, intensity 53.7, hkl 4 1 0
- 31.76°, d 2.818, intensity 48.8, hkl 2 0 1
- 55.07°, d 1.668, intensity 38.3, hkl 4 1 1
- 23.86°, d 3.730, intensity 36.7, hkl 2 0 0
- 67.67°, d 1.384, intensity 28.3, hkl 4 1 2
- 43.77°, d 2.068, intensity 18.5, hkl 3 1 1
- 48.89°, d 1.863, intensity 17.5, hkl 2 0 2


What is the formula in the eighth record? AcB4